Record 1
KZrVF7: simulated powder diffraction line list (Cu Ka), based on a cell relaxed with GGA+U.
Kinematic intensities with the Lorentz-polarization factor, no thermal factor.

Peak list (6 most intense, 10 to 80 degrees two-theta, low angle first)
d = 5.715 Å, 15.5°, rel. 45, hkl 1 0 1
d = 4.658 Å, 19.1°, rel. 35, hkl 1 1 1
d = 4.038 Å, 22.0°, rel. 54, hkl 0 2 0
d = 3.302 Å, 27.0°, rel. 100, hkl 0 0 2
d = 3.285 Å, 27.1°, rel. 99, hkl 3 0 1
d = 1.901 Å, 47.9°, rel. 36, hkl 4 2 2

a b c (Å): 11.3495 8.0762 6.6150
angles (deg): 90.00 90.00 90.00
Space group Pnna (No. 52)
Unique sites:
K1 0.2500 0.0000 0.2366 (multiplicity 4)
Zr1 0.0932 0.2500 0.7500 (multiplicity 4)
V1 0.0977 0.7500 0.7500 (multiplicity 4)
F1 0.0435 0.1944 0.4488 (multiplicity 8)
F2 0.0859 0.7500 0.2500 (multiplicity 4)
F3 0.1021 0.0041 0.8324 (multiplicity 8)
F4 0.2496 0.2118 0.5693 (multiplicity 8)

=====

Record 2
MgVCr2Fe3P6O24: simulated powder diffraction line list (Cu Ka), based on a cell relaxed with GGA+U.
Kinematic intensities with the Lorentz-polarization factor, no thermal factor.

Peak list (6 most intense, 10 to 80 degrees two-theta, low angle first)
d = 4.334 Å, 20.5°, rel. 91, hkl 1 0 -1
d = 3.687 Å, 24.1°, rel. 100, hkl 1 0 2
d = 2.727 Å, 32.8°, rel. 39, hkl 3 1 2
d = 2.502 Å, 35.9°, rel. 44, hkl -2 1 1
d = 1.928 Å, 47.1°, rel. 25, hkl 3 1 4
d = 1.638 Å, 56.2°, rel. 24, hkl 2 1 -3

a b c (Å): 8.6065 8.6198 8.6274
angles (deg): 60.32 60.42 60.41
Space group P1 (No. 1)
Unique sites:
Mg1 0.0000 0.0000 0.0000 (multiplicity 1)
V1 0.6025 0.6058 0.6044 (multiplicity 1)
Cr1 0.2544 0.2546 0.2542 (multiplicity 1)
Cr2 0.7464 0.7450 0.7475 (multiplicity 1)
Fe1 0.1219 0.1211 0.1212 (multiplicity 1)
Fe2 0.4002 0.3985 0.3994 (multiplicity 1)
Fe3 0.8795 0.8779 0.8784 (multiplicity 1)
P1 0.0011 0.3009 0.6971 (multiplicity 1)
P2 0.2080 0.7916 0.4997 (multiplicity 1)
P3 0.3018 0.6978 0.0019 (multiplicity 1)
P4 0.5005 0.2079 0.7919 (multiplicity 1)
P5 0.6976 0.0006 0.3007 (multiplicity 1)
P6 0.7926 0.4994 0.2078 (multiplicity 1)
O1 0.0003 0.3582 0.2000 (multiplicity 1)
O2 0.0011 0.7984 0.6407 (multiplicity 1)
O3 0.0604 0.2500 0.8620 (multiplicity 1)
O4 0.1377 0.7494 0.9405 (multiplicity 1)
O5 0.1578 0.3194 0.4969 (multiplicity 1)
O6 0.2019 0.9982 0.3586 (multiplicity 1)
O7 0.2503 0.8625 0.0616 (multiplicity 1)
O8 0.2701 0.6544 0.4012 (multiplicity 1)
O9 0.3199 0.4970 0.1582 (multiplicity 1)
O10 0.3440 0.7310 0.5996 (multiplicity 1)
O11 0.3598 0.1995 0.9991 (multiplicity 1)
O12 0.4007 0.2698 0.6554 (multiplicity 1)
O13 0.4971 0.1572 0.3200 (multiplicity 1)
O14 0.5030 0.6807 0.8452 (multiplicity 1)
O15 0.5976 0.3456 0.7318 (multiplicity 1)
O16 0.6421 0.0011 0.7980 (multiplicity 1)
O17 0.6563 0.3994 0.2685 (multiplicity 1)
O18 0.6800 0.8421 0.5017 (multiplicity 1)
O19 0.7298 0.5990 0.3429 (multiplicity 1)
O20 0.7487 0.9410 0.1363 (multiplicity 1)
O21 0.8003 0.6399 0.9999 (multiplicity 1)
O22 0.8437 0.5022 0.6793 (multiplicity 1)
O23 0.8630 0.0589 0.2509 (multiplicity 1)
O24 0.9401 0.1367 0.7488 (multiplicity 1)

=====

Record 3
MgCr2O4: simulated powder diffraction line list (Cu Ka), based on a cell relaxed with GGA+U.
Kinematic intensities with the Lorentz-polarization factor, no thermal factor.

Peak list (6 most intense, 10 to 80 degrees two-theta, low angle first)
d = 5.146 Å, 17.2°, rel. 100, hkl 0 0 2
d = 2.328 Å, 38.7°, rel. 96, hkl 1 1 2
d = 2.078 Å, 43.6°, rel. 25, hkl 1 1 -3
d = 1.833 Å, 49.8°, rel. 50, hkl 1 1 4
d = 1.507 Å, 61.5°, rel. 30, hkl 2 0 0
d = 1.434 Å, 65.1°, rel. 27, hkl 0 2 6

a b c (Å): 3.0146 5.2215 10.2917
angles (deg): 90.00 90.08 90.00
Space group C2 (No. 5)
Unique sites:
Mg1 0.0000 0.0000 0.0000 (multiplicity 2)
Cr1 0.0008 0.6669 0.2555 (multiplicity 4)
O1 0.0000 0.3335 0.1250 (multiplicity 4)
O2 0.0012 0.0003 0.3379 (multiplicity 4)

=====

Record 4
Li5Mn3O8: simulated powder diffraction line list (Cu Ka), based on a cell relaxed with GGA+U.
Kinematic intensities with the Lorentz-polarization factor, no thermal factor.

Peak list (6 most intense, 10 to 80 degrees two-theta, low angle first)
d = 4.785 Å, 18.5°, rel. 100, hkl 1 0 0
d = 2.475 Å, 36.3°, rel. 24, hkl 0 1 -2
d = 2.113 Å, 42.8°, rel. 34, hkl 1 2 0
d = 2.052 Å, 44.1°, rel. 62, hkl 1 -1 2
d = 1.477 Å, 62.9°, rel. 17, hkl -1 3 2
d = 1.467 Å, 63.4°, rel. 17, hkl 2 1 2

a b c (Å): 5.0586 5.1618 5.7668
angles (deg): 90.03 106.60 98.79
Space group P-1 (No. 2)
Unique sites:
Li1 0.0000 0.0000 0.0000 (multiplicity 1)
Li2 0.4864 0.7597 0.1178 (multiplicity 2)
Li3 0.4945 0.7513 0.6273 (multiplicity 2)
Mn1 0.0000 0.0000 0.5000 (multiplicity 1)
Mn2 0.0000 0.5005 0.2474 (multiplicity 2)
O1 0.2190 0.8513 0.3145 (multiplicity 2)
O2 0.2204 0.8525 0.7959 (multiplicity 2)
O3 0.2287 0.3992 0.0573 (multiplicity 2)
O4 0.2315 0.3955 0.5580 (multiplicity 2)

=====

Record 5
Li4Mn3V2CrP6O24: simulated powder diffraction line list (Cu Ka), based on a cell relaxed with GGA+U.
Kinematic intensities with the Lorentz-polarization factor, no thermal factor.

Peak list (6 most intense, 10 to 80 degrees two-theta, low angle first)
d = 4.507 Å, 19.7°, rel. 100, hkl 0 1 -1
d = 3.767 Å, 23.6°, rel. 59, hkl 0 1 2
d = 3.736 Å, 23.8°, rel. 88, hkl 2 0 1
d = 2.712 Å, 33.0°, rel. 50, hkl 1 2 3
d = 2.694 Å, 33.3°, rel. 44, hkl 2 3 1
d = 2.604 Å, 34.4°, rel. 63, hkl -2 1 1

a b c (Å): 8.4578 8.5238 8.5373
angles (deg): 63.65 64.16 64.18
Space group P1 (No. 1)
Unique sites:
Li1 0.0000 0.0000 0.0000 (multiplicity 1)
Li2 0.1070 0.8814 0.4891 (multiplicity 1)
Li3 0.2193 0.3820 0.4019 (multiplicity 1)
Li4 0.6197 0.5948 0.7885 (multiplicity 1)
Mn1 0.0102 0.3949 0.7972 (multiplicity 1)
Mn2 0.5057 0.8896 0.2872 (multiplicity 1)
Mn3 0.7023 0.0850 0.4815 (multiplicity 1)
V1 0.3635 0.7395 0.1362 (multiplicity 1)
V2 0.8464 0.2390 0.6374 (multiplicity 1)
Cr1 0.2077 0.5862 0.9897 (multiplicity 1)
P1 0.1015 0.1806 0.1948 (multiplicity 1)
P2 0.2832 0.9792 0.6903 (multiplicity 1)
P3 0.4134 0.4827 0.5833 (multiplicity 1)
P4 0.5987 0.2942 0.0763 (multiplicity 1)
P5 0.7970 0.7950 0.8868 (multiplicity 1)
P6 0.9224 0.6787 0.3847 (multiplicity 1)
O1 0.0266 0.2019 0.0497 (multiplicity 1)
O2 0.0882 0.1336 0.7187 (multiplicity 1)
O3 0.1177 0.6447 0.2315 (multiplicity 1)
O4 0.1659 0.3446 0.1459 (multiplicity 1)
O5 0.2473 0.9872 0.2195 (multiplicity 1)
O6 0.2658 0.8317 0.8905 (multiplicity 1)
O7 0.2705 0.4002 0.6097 (multiplicity 1)
O8 0.2951 0.9122 0.5469 (multiplicity 1)
O9 0.3633 0.5468 0.7474 (multiplicity 1)
O10 0.4199 0.6393 0.3983 (multiplicity 1)
O11 0.4488 0.0373 0.6407 (multiplicity 1)
O12 0.4508 0.4952 0.0478 (multiplicity 1)
O13 0.5245 0.1460 0.1135 (multiplicity 1)
O14 0.6083 0.8172 0.0338 (multiplicity 1)
O15 0.6117 0.3382 0.5734 (multiplicity 1)
O16 0.6640 0.2653 0.2291 (multiplicity 1)
O17 0.7488 0.3170 0.8785 (multiplicity 1)
O18 0.7598 0.7384 0.3201 (multiplicity 1)
O19 0.8047 0.9854 0.7295 (multiplicity 1)
O20 0.8190 0.6502 0.8111 (multiplicity 1)
O21 0.9192 0.8229 0.4474 (multiplicity 1)
O22 0.9333 0.4802 0.5333 (multiplicity 1)
O23 0.9585 0.1655 0.3937 (multiplicity 1)
O24 0.9621 0.7407 0.9548 (multiplicity 1)

=====

Record 6
BaLa3Mn4O12: simulated powder diffraction line list (Cu Ka), based on a cell relaxed with GGA+U.
Kinematic intensities with the Lorentz-polarization factor, no thermal factor.

Peak list (6 most intense, 10 to 80 degrees two-theta, low angle first)
d = 2.833 Å, 31.6°, rel. 33, hkl 0 2 0
d = 2.819 Å, 31.7°, rel. 33, hkl 1 1 2
d = 2.807 Å, 31.9°, rel. 32, hkl 1 -1 2
d = 2.793 Å, 32.0°, rel. 100, hkl -1 1 2
d = 1.995 Å, 45.5°, rel. 21, hkl 2 2 0
d = 1.628 Å, 56.5°, rel. 21, hkl 1 -3 2

a b c (Å): 5.5899 5.6652 7.8948
angles (deg): 89.85 89.40 89.70
Space group P1 (No. 1)
Unique sites:
Ba1 0.0000 0.0000 0.0000 (multiplicity 1)
La1 0.0042 0.0012 0.4990 (multiplicity 1)
La2 0.5001 0.4976 0.0023 (multiplicity 1)
La3 0.5069 0.4949 0.5020 (multiplicity 1)
Mn1 0.0023 0.4958 0.2515 (multiplicity 1)
Mn2 0.0032 0.5012 0.7502 (multiplicity 1)
Mn3 0.5017 0.9989 0.2540 (multiplicity 1)
Mn4 0.5019 0.9992 0.7483 (multiplicity 1)
O1 0.0002 0.4354 0.4901 (multiplicity 1)
O2 0.0007 0.5317 0.0114 (multiplicity 1)
O3 0.2392 0.7900 0.7085 (multiplicity 1)
O4 0.2431 0.2199 0.2343 (multiplicity 1)
O5 0.2804 0.3050 0.7707 (multiplicity 1)
O6 0.2903 0.7340 0.2909 (multiplicity 1)
O7 0.5030 0.9249 0.0121 (multiplicity 1)
O8 0.5053 0.0655 0.4914 (multiplicity 1)
O9 0.7034 0.2749 0.2225 (multiplicity 1)
O10 0.7362 0.7091 0.7197 (multiplicity 1)
O11 0.7556 0.2187 0.7604 (multiplicity 1)
O12 0.7698 0.7837 0.2953 (multiplicity 1)

=====

Record 7
AlNiW2O8: simulated powder diffraction line list (Cu Ka), based on a cell relaxed with GGA+U.
Kinematic intensities with the Lorentz-polarization factor, no thermal factor.

Peak list (6 most intense, 10 to 80 degrees two-theta, low angle first)
d = 4.573 Å, 19.4°, rel. 74, hkl 0 0 2
d = 3.753 Å, 23.7°, rel. 77, hkl 1 1 -1
d = 3.561 Å, 25.0°, rel. 64, hkl 0 1 2
d = 2.920 Å, 30.6°, rel. 100, hkl 1 1 1
d = 2.883 Å, 31.0°, rel. 98, hkl 1 1 -3
d = 2.468 Å, 36.4°, rel. 45, hkl 1 2 -1

a b c (Å): 5.0051 5.6748 10.3498
angles (deg): 90.00 117.92 90.00
Space group P2/c (No. 13)
Unique sites:
Al1 0.0000 0.1530 0.2500 (multiplicity 2)
Ni1 0.5000 0.1468 0.7500 (multiplicity 2)
W1 0.2419 0.3285 0.9977 (multiplicity 4)
O1 0.1820 0.3880 0.6140 (multiplicity 4)
O2 0.2067 0.1400 0.1362 (multiplicity 4)
O3 0.2566 0.1020 0.8705 (multiplicity 4)
O4 0.3071 0.3813 0.3872 (multiplicity 4)